# 1
# Li4Ti3Fe3Sb2O16
Simulated PXRD pattern, copper Kα. Input: a structure optimized by DFT (PBE+U).
Intensities are scaled so that the largest is 100.

```
Li4Ti3Fe3Sb2O16
1.0
5.9721 0.0000 0.0000
2.9812 5.2137 0.0000
0.0071 0.1078 9.9024
Li Ti Fe Sb O
4 3 3 2 16
Direct
0.0000 0.0000 0.0000 Li
0.0060 0.9877 0.5055 Li
0.3380 0.3274 0.4180 Li
0.6674 0.6666 0.9132 Li
0.1761 0.6487 0.7329 Ti
0.3437 0.8179 0.2309 Ti
0.8398 0.8120 0.2272 Ti
0.1843 0.1559 0.7236 Fe
0.6606 0.1565 0.7233 Fe
0.8378 0.3378 0.2246 Fe
0.3455 0.3135 0.9996 Sb
0.6759 0.6488 0.5048 Sb
0.0117 0.9782 0.8143 O
0.0118 0.9791 0.3178 O
0.0403 0.4837 0.8606 O
0.1688 0.1532 0.1103 O
0.1693 0.6609 0.1151 O
0.3244 0.3521 0.6192 O
0.3389 0.8192 0.6104 O
0.4783 0.4837 0.8602 O
0.4845 0.0323 0.8619 O
0.5143 0.5202 0.3544 O
0.5246 0.9517 0.3506 O
0.6524 0.6894 0.1184 O
0.6800 0.1512 0.1110 O
0.8425 0.8195 0.6111 O
0.8447 0.3106 0.6035 O
0.9676 0.5221 0.3570 O
```

Peak list (8 most intense, 10 to 90 degrees two-theta, most intense first)
(0 1 -1), d 4.591, I = 100; (1 -1 2), d 2.557, I = 40; (1 0 3), d 2.777, I = 22; (1 2 2), d 2.579, I = 19; (0 1 1), d 4.634, I = 18; (2 -2 0), d 1.502, I = 18; (0 2 -5), d 1.569, I = 17; (0 2 -1), d 2.512, I = 17



# 2
# Li4Ti3Fe3Sb2O16
Simulated PXRD pattern, copper Kα. Input: a structure optimized by DFT (PBE+U).
Intensities are scaled so that the largest is 100.

```
Li4Ti3Fe3Sb2O16
1.0
6.0129 0.0000 0.0000
-2.9801 5.2618 0.0000
-0.0850 -0.1675 9.8557
Li Ti Fe Sb O
4 3 3 2 16
Direct
0.0000 0.0000 0.0000 Li
0.0033 0.0106 0.5033 Li
0.3308 0.6673 0.4169 Li
0.6610 0.3293 0.9140 Li
0.1710 0.3457 0.7300 Ti
0.3497 0.1855 0.2276 Ti
0.8340 0.1809 0.2297 Ti
0.1748 0.8395 0.7250 Fe
0.6600 0.8385 0.7261 Fe
0.8270 0.6623 0.2215 Fe
0.3371 0.6806 0.9995 Sb
0.6774 0.3504 0.5068 Sb
0.0128 0.0248 0.3133 O
0.0158 0.0209 0.8157 O
0.0353 0.5159 0.8589 O
0.1701 0.3443 0.1104 O
0.1735 0.8454 0.1070 O
0.3148 0.6455 0.6198 O
0.3364 0.1762 0.6160 O
0.4663 0.5103 0.8645 O
0.4684 0.9628 0.8627 O
0.4990 0.4669 0.3547 O
0.5232 0.0432 0.3481 O
0.6510 0.3033 0.1181 O
0.6711 0.8454 0.1054 O
0.8532 0.1857 0.6118 O
0.8554 0.6890 0.6025 O
0.9625 0.4698 0.3521 O
```

Peak list (8 most intense, 10 to 90 degrees two-theta, most intense first)
(0 1 1), d 4.603, I = 100; (1 0 -1), d 4.662, I = 53; (1 1 2), d 2.564, I = 26; (-2 2 1), d 2.518, I = 21; (0 1 -3), d 2.805, I = 21; (-1 1 3), d 2.779, I = 20; (2 -1 2), d 2.555, I = 19; (0 1 -2), d 3.622, I = 18



# 3
# Li4Ti2Fe3Sb3O16
Simulated PXRD pattern, copper Kα. Input: a structure optimized by DFT (PBE+U).
Intensities are scaled so that the largest is 100.

```
Li4Ti2Fe3Sb3O16
1.0
6.2734 0.0000 0.0000
0.2443 9.8225 0.0000
0.1771 0.0480 10.6635
Li Ti Fe Sb O
8 4 6 6 32
Direct
0.0000 0.0000 0.0000 Li
0.0008 0.3976 0.6607 Li
0.0219 0.4810 0.0002 Li
0.0287 0.8994 0.3354 Li
0.4894 0.3938 0.1565 Li
0.5029 0.0029 0.4987 Li
0.5211 0.4835 0.5092 Li
0.5234 0.9012 0.8279 Li
0.4630 0.4720 0.8264 Ti
0.4833 0.0012 0.1511 Ti
0.9507 0.4661 0.3147 Ti
0.9837 0.9981 0.6516 Ti
0.2492 0.2056 0.9029 Fe
0.2678 0.7070 0.0866 Fe
0.4901 0.2117 0.6626 Fe
0.7456 0.2065 0.4066 Fe
0.7753 0.7124 0.5822 Fe
0.9901 0.2087 0.1606 Fe
0.0104 0.7213 0.8322 Sb
0.2354 0.2158 0.4052 Sb
0.2667 0.7193 0.5872 Sb
0.5153 0.7155 0.3342 Sb
0.7395 0.2127 0.9038 Sb
0.7612 0.7125 0.0899 Sb
0.0016 0.8186 0.0260 O
0.0054 0.3489 0.4703 O
0.0058 0.1065 0.3268 O
0.0340 0.6021 0.6542 O
0.0360 0.8432 0.5173 O
0.2142 0.3482 0.2584 O
0.2292 0.0985 0.5641 O
0.2574 0.8551 0.7262 O
0.2614 0.0765 0.0756 O
0.2729 0.3580 0.7586 O
0.2886 0.5722 0.9342 O
0.2947 0.6064 0.4255 O
0.3088 0.8391 0.2468 O
0.4724 0.0942 0.3196 O
0.4831 0.3002 0.4879 O
0.4965 0.5977 0.6676 O
0.5112 0.3376 0.9748 O
0.5132 0.1028 0.8262 O
0.5135 0.8164 0.4977 O
0.5292 0.6016 0.1767 O
0.5322 0.8412 0.0273 O
0.7239 0.3476 0.7603 O
0.7268 0.0915 0.0691 O
0.7432 0.8288 0.2509 O
0.7482 0.5914 0.4123 O
0.7627 0.3554 0.2516 O
0.7637 0.0798 0.5756 O
0.7692 0.5994 0.9355 O
0.8014 0.8492 0.7334 O
0.9794 0.0906 0.8223 O
0.9838 0.2957 0.9897 O
0.9930 0.5877 0.1694 O
```

Peak list (8 most intense, 10 to 90 degrees two-theta, most intense first)
(0 2 0), d 4.911, I = 100; (2 -1 2), d 2.610, I = 42; (1 1 1), d 4.811, I = 38; (0 1 2), d 4.700, I = 29; (-2 1 2), d 2.576, I = 27; (2 -3 2), d 2.070, I = 26; (0 1 -2), d 4.675, I = 25; (1 1 -1), d 4.748, I = 21



# 4
# Li4Ti2Fe3Sb3O16
Simulated PXRD pattern, copper Kα. Input: a structure optimized by DFT (PBE+U).
Intensities are scaled so that the largest is 100.

```
Li4Ti2Fe3Sb3O16
1.0
6.1414 0.0000 0.0000
0.0309 9.7930 0.0000
0.0397 0.3113 10.8723
Li Ti Fe Sb O
8 4 6 6 32
Direct
0.0000 0.0000 0.0000 Li
0.0005 0.0888 0.6850 Li
0.0020 0.4800 0.0108 Li
0.5004 0.0892 0.1845 Li
0.5000 0.5824 0.8327 Li
0.5008 0.9997 0.4999 Li
0.5007 0.4793 0.5099 Li
0.9990 0.5824 0.3329 Li
0.0022 0.0120 0.3750 Ti
0.4978 0.4810 0.1930 Ti
0.5017 0.0120 0.8743 Ti
0.9986 0.4803 0.6930 Ti
0.0000 0.7696 0.8371 Fe
0.2438 0.2742 0.4341 Fe
0.2566 0.2742 0.9341 Fe
0.4992 0.7702 0.3373 Fe
0.7435 0.2752 0.9346 Fe
0.7568 0.2738 0.4343 Fe
0.0003 0.2665 0.1901 Sb
0.2480 0.7655 0.5910 Sb
0.2543 0.7666 0.0899 Sb
0.4996 0.2667 0.6902 Sb
0.7469 0.7669 0.0906 Sb
0.7554 0.7667 0.5899 Sb
0.9999 0.6452 0.5199 O
0.0017 0.8777 0.1599 O
0.0029 0.1260 0.5004 O
0.0026 0.1834 0.0254 O
0.0029 0.6665 0.0098 O
0.2144 0.1346 0.2721 O
0.2189 0.6373 0.7399 O
0.2483 0.3891 0.1124 O
0.2513 0.3891 0.6121 O
0.2513 0.8910 0.4293 O
0.2527 0.8914 0.9316 O
0.2778 0.6379 0.2376 O
0.2871 0.1337 0.7723 O
0.4970 0.3790 0.8414 O
0.4968 0.8806 0.1652 O
0.4983 0.4020 0.3417 O
0.5002 0.6459 0.0199 O
0.5009 0.1839 0.5247 O
0.5024 0.8773 0.6600 O
0.5050 0.1277 0.9994 O
0.5052 0.6658 0.5099 O
0.7134 0.1346 0.7721 O
0.7177 0.6400 0.2407 O
0.7476 0.3891 0.6124 O
0.7496 0.8923 0.9300 O
0.7532 0.3895 0.1120 O
0.7547 0.8917 0.4322 O
0.7802 0.6390 0.7385 O
0.7877 0.1339 0.2726 O
0.9949 0.4009 0.8424 O
0.9991 0.3780 0.3423 O
0.9990 0.8798 0.6655 O
```

Peak list (8 most intense, 10 to 90 degrees two-theta, most intense first)
(0 2 0), d 4.894, I = 100; (0 1 -4), d 2.601, I = 48; (-1 1 1), d 4.721, I = 42; (0 1 2), d 4.811, I = 38; (2 -1 2), d 2.570, I = 31; (1 1 -1), d 4.665, I = 24; (2 3 -2), d 2.054, I = 22; (0 3 -2), d 2.766, I = 22